(1)
This entry pairs a crystal structure of AcPmPrEr with its computed powder X-ray diffraction pattern. Radiation: Cu Kα (λ = 1.5418 Å). Structure: the GGA-PBE geometry in Alexandria.
Peak positions follow from Bragg's law for the DFT cell and can differ from measured ones.

Most intense lines, 10° ≤ 2θ ≤ 90°, by intensity:
2θ (°)  Rel. int.
31.36  100
28.50  52
29.84  34
58.08  32
35.66  28
48.60  28
53.93  21
58.99  17

a = 3.747 Å, b = 3.747 Å, c = 11.976 Å
α = 90.00°, β = 90.00°, γ = 120.00°
Fractional positions:
Ac  0.000  0.000  0.000
Pm  0.333  0.667  0.260
Pr  0.667  0.333  0.508
Er  0.333  0.667  0.747

***

(2)
This entry pairs a crystal structure of GePd4Se with its computed powder X-ray diffraction pattern. Radiation: Cu Kα (λ = 1.5418 Å). Structure: the GGA-PBE geometry in Alexandria.
Peak positions follow from Bragg's law for the DFT cell and can differ from measured ones.

Most intense lines, 10° ≤ 2θ ≤ 90°, by intensity:
2θ (°)  Rel. int.
41.40  100
35.99  94
44.14  92
37.18  75
12.70  72
43.52  69
45.84  64
50.92  58

a = 7.022 Å, b = 5.592 Å, c = 5.571 Å
α = 90.00°, β = 96.80°, γ = 90.00°
Fractional positions:
Ge  0.000  0.000  0.000
Ge  0.000  0.500  0.500
Pd  0.176  0.167  0.371
Pd  0.176  0.333  0.871
Pd  0.243  0.685  0.243
Pd  0.243  0.815  0.743
Pd  0.757  0.185  0.257
Pd  0.757  0.315  0.757
Pd  0.824  0.667  0.129
Pd  0.824  0.833  0.629
Se  0.500  0.000  0.500
Se  0.500  0.500  0.000

***

(3)
This entry pairs a crystal structure of Na3SbO3 with its computed powder X-ray diffraction pattern. Radiation: Cu Kα (λ = 1.5418 Å). Structure: the GGA-PBE geometry in Alexandria.
Peak positions follow from Bragg's law for the DFT cell and can differ from measured ones.

Most intense lines, 10° ≤ 2θ ≤ 90°, by intensity:
2θ (°)  Rel. int.
21.01  100
32.83  70
28.88  35
14.32  27
41.66  25
56.13  24
30.85  24
51.17  23

a = 7.141 Å, b = 7.141 Å, c = 5.797 Å
α = 90.00°, β = 90.00°, γ = 120.00°
Fractional positions:
Na  0.164  0.327  0.000
Na  0.164  0.836  0.000
Na  0.327  0.164  0.500
Na  0.673  0.836  0.000
Na  0.836  0.164  0.500
Na  0.836  0.673  0.500
Sb  0.333  0.667  0.463
Sb  0.667  0.333  0.963
O  0.191  0.382  0.612
O  0.191  0.809  0.612
O  0.382  0.191  0.112
O  0.618  0.809  0.612
O  0.809  0.191  0.112
O  0.809  0.618  0.112

***

(4)
This entry pairs a crystal structure of CaMgCdCl6 with its computed powder X-ray diffraction pattern. Radiation: Cu Kα (λ = 1.5418 Å). Structure: the GGA-PBE geometry in Alexandria.
Peak positions follow from Bragg's law for the DFT cell and can differ from measured ones.

Most intense lines, 10° ≤ 2θ ≤ 90°, by intensity:
2θ (°)  Rel. int.
30.86  100
40.43  98
21.37  78
47.74  63
17.15  45
27.03  32
14.63  30
44.52  22

a = 6.601 Å, b = 6.601 Å, c = 12.113 Å
α = 90.00°, β = 90.00°, γ = 120.00°
Fractional positions:
Ca  0.000  0.000  0.000
Ca  0.000  0.000  0.500
Mg  0.333  0.667  0.250
Mg  0.667  0.333  0.750
Cd  0.333  0.667  0.750
Cd  0.667  0.333  0.250
Cl  0.015  0.356  0.131
Cl  0.015  0.659  0.369
Cl  0.341  0.356  0.369
Cl  0.341  0.985  0.131
Cl  0.356  0.015  0.631
Cl  0.356  0.341  0.869
Cl  0.644  0.659  0.131
Cl  0.644  0.985  0.369
Cl  0.659  0.015  0.869
Cl  0.659  0.644  0.631
Cl  0.985  0.341  0.631
Cl  0.985  0.644  0.869

***

(5)
This entry pairs a crystal structure of Ce2NdZn9 with its computed powder X-ray diffraction pattern. Radiation: Cu Kα (λ = 1.5418 Å). Structure: the GGA-PBE geometry in Alexandria.
Peak positions follow from Bragg's law for the DFT cell and can differ from measured ones.

Most intense lines, 10° ≤ 2θ ≤ 90°, by intensity:
2θ (°)  Rel. int.
38.93  100
33.01  52
38.43  27
30.30  26
62.90  22
40.84  17
69.19  17
42.06  15

a = 9.379 Å, b = 9.379 Å, c = 9.379 Å
α = 33.66°, β = 33.66°, γ = 33.66°
Fractional positions:
Ce  0.148  0.148  0.148
Ce  0.852  0.852  0.852
Nd  0.000  0.000  0.000
Zn  0.077  0.583  0.583
Zn  0.335  0.335  0.335
Zn  0.417  0.417  0.923
Zn  0.417  0.923  0.417
Zn  0.500  0.500  0.500
Zn  0.583  0.077  0.583
Zn  0.583  0.583  0.077
Zn  0.665  0.665  0.665
Zn  0.923  0.417  0.417

***

(6)
This entry pairs a crystal structure of Ho2Sc2Tc with its computed powder X-ray diffraction pattern. Radiation: Cu Kα (λ = 1.5418 Å). Structure: the GGA-PBE geometry in Alexandria.
Peak positions follow from Bragg's law for the DFT cell and can differ from measured ones.

Most intense lines, 10° ≤ 2θ ≤ 90°, by intensity:
2θ (°)  Rel. int.
27.26  100
32.95  71
35.32  40
33.85  38
35.61  38
15.82  37
45.99  35
33.64  35

a = 6.773 Å, b = 6.773 Å, c = 6.786 Å
α = 104.90°, β = 104.90°, γ = 56.71°
Fractional positions:
Ho  0.056  0.236  0.115
Ho  0.236  0.056  0.615
Ho  0.764  0.944  0.385
Ho  0.944  0.764  0.885
Sc  0.293  0.488  0.520
Sc  0.488  0.293  0.020
Sc  0.512  0.707  0.980
Sc  0.707  0.512  0.480
Tc  0.261  0.739  0.250
Tc  0.739  0.261  0.750

***

(7)
This entry pairs a crystal structure of Nd2SmUAs4 with its computed powder X-ray diffraction pattern. Radiation: Cu Kα (λ = 1.5418 Å). Structure: the GGA-PBE geometry in Alexandria.
Peak positions follow from Bragg's law for the DFT cell and can differ from measured ones.

Most intense lines, 10° ≤ 2θ ≤ 90°, by intensity:
2θ (°)  Rel. int.
30.05  100
43.04  50
53.21  13
53.53  13
25.88  13
79.07  13
42.80  13
26.02  13

a = 7.288 Å, b = 4.191 Å, c = 7.289 Å
α = 90.00°, β = 109.12°, γ = 90.00°
Fractional positions:
Nd  0.000  0.000  0.000
Nd  0.500  0.500  0.000
Sm  0.000  0.500  0.500
U  0.500  0.000  0.500
As  0.255  0.000  0.741
As  0.258  0.500  0.261
As  0.742  0.500  0.739
As  0.745  0.000  0.259

***

(8)
This entry pairs a crystal structure of Tl2Hg3H with its computed powder X-ray diffraction pattern. Radiation: Cu Kα (λ = 1.5418 Å). Structure: the GGA-PBE geometry in Alexandria.
Peak positions follow from Bragg's law for the DFT cell and can differ from measured ones.

Most intense lines, 10° ≤ 2θ ≤ 90°, by intensity:
2θ (°)  Rel. int.
30.43  100
26.27  80
32.15  69
39.17  57
34.53  47
31.25  42
31.66  36
33.41  25

a = 5.371 Å, b = 5.877 Å, c = 10.503 Å
α = 76.44°, β = 89.81°, γ = 87.03°
Fractional positions:
Tl  0.184  0.416  0.266
Tl  0.281  0.066  0.656
Tl  0.719  0.934  0.344
Tl  0.816  0.584  0.734
Hg  0.124  0.797  0.944
Hg  0.256  0.664  0.506
Hg  0.377  0.312  0.899
Hg  0.623  0.688  0.101
Hg  0.744  0.336  0.494
Hg  0.876  0.203  0.056
H  0.380  0.105  0.272
H  0.620  0.895  0.728